Structure and calculated PXRD pattern of In2O3 (the PBE geometry in the Materials Project; Cu Kα (weighted mean of Kα1 and Kα2)).
Peak positions follow from Bragg's law for the DFT cell and can differ from measured ones.

Principal peaks in the range 5° ≤ 2θ ≤ 70°, by angle:
2theta, I/Imax, index
31.50, 100, 2 1 1
32.00, 19, 0 2 0
44.86, 9, 4 0 0
45.48, 17, 0 2 2
52.18, 4, 1 1 3
55.81, 9, 4 0 2
56.04, 14, 2 1 3
56.16, 9, 4 2 0
56.73, 20, 2 3 1
65.80, 8, 4 2 2

Cell and atoms:
a b c (Å): 8.0827 5.5937 5.6884
angles (deg): 90.00 90.00 90.00
Space group Pbcn (No. 60)
Unique sites:
In  0.1149  0.2475  0.0286 (multiplicity 8)
O  0.0000  0.0427  0.7500 (multiplicity 4)
O  0.1503  0.3901  0.3954 (multiplicity 8)